The following is a simulated powder XRD pattern of VAg2F5. It was derived from a cell relaxed with PBE+U, using copper Kα.
No peak broadening, texture or thermal motion is included.

Top 10 peaks for 2θ from 10° to 90°, by angle:
hkl  2theta  d [Å]  Rel. int.
1 -1 0  26.9  3.309  59
1 1 -1  27.4  3.250  54
0 1 1  30.2  2.964  100
0 2 -1  31.5  2.839  27
1 0 1  34.1  2.628  29
0 0 2  34.4  2.606  18
2 0 -1  45.2  2.008  28
1 -2 2  46.8  1.940  33
0 3 -3  55.3  1.662  18
2 1 0  55.5  1.655  22

Structural model:
Cell: 4.017 5.678 6.244 Å, 116.56 108.23 91.09°
Sites, in units of the cell vectors:
V (0.000, 0.000, 0.000)
Ag (0.352, 0.353, 0.705)
Ag (0.648, 0.647, 0.295)
F (0.126, 0.889, 0.266)
F (0.140, 0.376, 0.267)
F (0.500, 0.000, 0.000)
F (0.860, 0.624, 0.733)
F (0.874, 0.111, 0.734)